Entry 1:
The following is a calculated powder diffractogram of Er3Tl3BiTe8. It was derived from the GGA-PBE geometry in Alexandria, using CuKα.

Largest 6 diffraction maxima, by angle, 15° ≤ 2θ ≤ 90°:
- 3.234 Å, I 100, hkl 2 2 2
- 2.364 Å, I 39, hkl 2 0 4
- 2.216 Å, I 37, hkl 4 2 2
- 1.828 Å, I 20, hkl 4 4 0
- 1.485 Å, I 13, hkl 4 2 6
- 1.410 Å, I 17, hkl 6 4 4

Atomic structure:
```
Er3Tl3BiTe8
1.0
8.8626 0.0000 0.0000
4.4307 7.6796 0.0000
4.4270 -2.5532 8.0016
Er Tl Bi Te
3 3 1 8
direct
0.0000 0.0000 0.0000 Er
0.0000 0.5000 0.0000 Er
0.5000 0.0000 0.0000 Er
0.0000 0.0000 0.5000 Tl
0.0000 0.5000 0.5000 Tl
0.5000 0.5000 0.5000 Tl
0.5000 0.5000 0.0000 Bi
0.0110 0.7444 0.2173 Te
0.0232 0.2384 0.2152 Te
0.4726 0.2556 0.7828 Te
0.4726 0.7719 0.7828 Te
0.5274 0.2281 0.2172 Te
0.5274 0.7444 0.2172 Te
0.9768 0.7616 0.7848 Te
0.9890 0.2556 0.7827 Te
```



Entry 2:
The following is a calculated powder diffractogram of MgMo4. It was derived from the GGA-PBE geometry in Alexandria, using CuKα.

Largest 6 diffraction maxima, by angle, 15° ≤ 2θ ≤ 90°:
- 5.056 Å, I 17, hkl 1 1 0
- 2.261 Å, I 45, hkl 3 1 0
- 2.254 Å, I 100, hkl 1 2 1
- 1.599 Å, I 14, hkl 2 4 0
- 1.304 Å, I 27, hkl 5 0 1
- 1.300 Å, I 15, hkl 3 1 2

Atomic structure:
```
MgMo4
1.0
7.1506 0.0000 0.0000
0.0000 7.1506 0.0000
0.0000 0.0000 3.1763
Mg Mo
2 8
direct
0.0000 0.0000 0.0000 Mg
0.5000 0.5000 0.5000 Mg
0.1126 0.6874 0.5000 Mo
0.1874 0.3874 0.0000 Mo
0.3126 0.1126 0.5000 Mo
0.3874 0.8126 0.0000 Mo
0.6126 0.1874 0.0000 Mo
0.6874 0.8874 0.5000 Mo
0.8126 0.6126 0.0000 Mo
0.8874 0.3126 0.5000 Mo
```